Theoretical X-ray diffraction stick pattern
Compound: Ho2ErTmAl2
Radiation: a wavelength of 1.5418 Å
Structure: a DFT-relaxed cell (PBE, OQMD)
Lines closer than 0.1° are merged.

Main lines, by angle (2θ from 15° to 90°):
index  two_theta  intensity
1 0 0  19.72  12.0
1 0 1  23.95  51.0
1 0 2  33.73  100.0
1 1 0  34.51  88.6
2 0 1  42.45  11.6
2 0 2  49.03  35.1
0 0 4  55.82  18.0
2 1 2  61.34  35.9
3 0 0  61.84  16.5
1 1 4  67.33  25.6
3 1 2  82.67  15.6
3 0 4  88.08  14.4

Crystal structure
```
data_Ho2ErTmAl2
_chemical_formula_sum 'Ho2 Er1 Tm1 Al2'
_cell_length_a 5.1973
_cell_length_b 5.1973
_cell_length_c 6.5857
_cell_angle_alpha 90.00
_cell_angle_beta 90.00
_cell_angle_gamma 120.00
_symmetry_space_group_name_H-M 'P -6 m 2'
_symmetry_Int_Tables_number 187
_symmetry_space_group_name_Hall 'P -6 2'
loop_
_atom_site_label
_atom_site_fract_x
_atom_site_fract_y
_atom_site_fract_z
Ho1 0.0000 0.0000 0.2494
Er1 0.6667 0.3333 0.5000
Tm1 0.3333 0.6667 0.0000
Al1 0.3333 0.6667 0.5000
Al2 0.6667 0.3333 0.0000
```